Starting from a structure optimized by DFT (GGA-PBE), the powder X-ray diffraction pattern of TbPm2Pr2Er was calculated for a wavelength of 1.5418 Å.
Lines closer than 0.1° are merged.

The 8 most intense peaks (10° ≤ 2θ ≤ 80°), in order of rising 2θ:
30.96°, intensity 92, (2 1 1)
31.20°, intensity 100, (0 2 0)
44.53°, intensity 34, (2 2 2)
55.37°, intensity 35, (2 3 1)
55.52°, intensity 19, (0 3 3)
61.43°, intensity 29, (4 2 0)
73.80°, intensity 15, (2 4 2)
79.10°, intensity 14, (4 3 3)

Crystal structure
```
TbPm2Pr2Er
1.0
7.102 0.000 0.000
0.000 5.733 0.000
0.000 0.000 9.932
Tb Pm Pr Er
2 4 4 2
Direct
0.250 0.000 0.158
0.750 0.000 0.842
0.250 0.000 0.832
0.250 0.500 0.336
0.750 0.000 0.168
0.750 0.500 0.664
0.000 0.000 0.500
0.250 0.500 0.678
0.500 0.000 0.500
0.750 0.500 0.322
0.000 0.500 0.000
0.500 0.500 0.000
```